1.
Theoretical powder diffraction line list of TbNi2Ge2 for Cu Kα X-rays, from a crystal structure in the Materials Project, relaxed with PBE.
Lines closer than 0.1° are merged.

Peak list (12 most intense, 2θ from 5° to 70°, in order of rising 2θ)
- 23.65 deg, rel. 10.4
- 31.04 deg, rel. 29.7
- 35.21 deg, rel. 100.0
- 36.16 deg, rel. 99.4
- 36.67 deg, rel. 5.8
- 44.47 deg, rel. 67.3
- 48.78 deg, rel. 7.6
- 51.74 deg, rel. 28.3
- 57.95 deg, rel. 47.1
- 58.95 deg, rel. 5.5
- 64.71 deg, rel. 21.3
- 65.70 deg, rel. 20.2

Structure:
```
TbNi2Ge2
1.0
4.0746 0.0000 0.0000
0.0000 4.0746 0.0000
0.0000 0.0000 9.8029
Tb Ni Ge
2 4 4
Direct
0.0000 0.0000 0.0000
0.5000 0.5000 0.5000
0.0000 0.5000 0.2500
0.0000 0.5000 0.7500
0.5000 0.0000 0.2500
0.5000 0.0000 0.7500
0.0000 0.0000 0.3712
0.0000 0.0000 0.6288
0.5000 0.5000 0.1288
0.5000 0.5000 0.8712
```


2.
Theoretical powder diffraction line list of KRb2AsBr6 for Cu Kα X-rays, from a crystal structure in the Materials Project, relaxed with PBE.
Lines closer than 0.1° are merged.

Peak list (12 most intense, 2θ from 5° to 70°, in order of rising 2θ)
- 13.22 deg, rel. 16.8
- 15.27 deg, rel. 13.4
- 21.67 deg, rel. 16.1
- 26.62 deg, rel. 94.9
- 30.83 deg, rel. 100.0
- 40.40 deg, rel. 12.6
- 44.16 deg, rel. 68.1
- 52.31 deg, rel. 36.2
- 54.82 deg, rel. 22.2
- 56.66 deg, rel. 8.0
- 61.38 deg, rel. 5.8
- 64.23 deg, rel. 9.8

Structure:
```
KRb2AsBr6
1.0
0.0000 5.8007 5.8007
5.8007 0.0000 5.8007
5.8007 5.8007 0.0000
K Rb As Br
1 2 1 6
Direct
0.0000 0.0000 0.0000
0.2500 0.2500 0.2500
0.7500 0.7500 0.7500
0.5000 0.5000 0.5000
0.2704 0.2704 0.7296
0.2704 0.7296 0.2704
0.2704 0.7296 0.7296
0.7296 0.2704 0.2704
0.7296 0.2704 0.7296
0.7296 0.7296 0.2704
```